1.
Nd2Y2Sc: theoretical X-ray diffraction stick pattern (CuKα), based on a crystal structure in Alexandria, relaxed with GGA-PBE.
No peak broadening, texture or thermal motion is included.

Crystal structure
Lattice parameters (Å, degrees): 6.2770 6.2770 6.2770 135.11 104.66 92.21
Sites, in units of the cell vectors:
Nd: 0.2077 0.0000 0.2077
Nd: 0.7923 0.0000 0.7923
Y: 0.2102 0.7102 0.5000
Y: 0.7898 0.2898 0.5000
Sc: 0.5000 0.5000 0.0000

Main lines, by angle (2θ = 10–80°):
- 2θ = 21.16°, rel. 46
- 2θ = 30.08°, rel. 78
- 2θ = 31.08°, rel. 60
- 2θ = 31.59°, rel. 100
- 2θ = 36.19°, rel. 41
- 2θ = 37.53°, rel. 36
- 2θ = 39.96°, rel. 27
- 2θ = 47.39°, rel. 29
- 2θ = 49.50°, rel. 33
- 2θ = 61.62°, rel. 27

2.
NdY6Sc: theoretical X-ray diffraction stick pattern (CuKα), based on a crystal structure in Alexandria, relaxed with GGA-PBE.
No peak broadening, texture or thermal motion is included.

Crystal structure
Lattice parameters (Å, degrees): 6.3956 6.3956 6.3956 97.27 97.27 97.27
Sites, in units of the cell vectors:
Nd: 0.0000 0.0000 0.0000
Y: 0.0515 0.5605 0.2686
Y: 0.2686 0.0515 0.5605
Y: 0.4395 0.7314 0.9485
Y: 0.5605 0.2686 0.0515
Y: 0.7314 0.9485 0.4395
Y: 0.9485 0.4395 0.7314
Sc: 0.5000 0.5000 0.5000

Main lines, by angle (2θ = 10–80°):
- 2θ = 27.96°, rel. 32
- 2θ = 28.44°, rel. 31
- 2θ = 29.93°, rel. 100
- 2θ = 32.30°, rel. 38
- 2θ = 33.73°, rel. 30
- 2θ = 34.13°, rel. 80
- 2θ = 47.76°, rel. 22
- 2θ = 48.68°, rel. 15
- 2θ = 50.29°, rel. 19
- 2θ = 62.21°, rel. 24

3.
Nd5ScZn6: theoretical X-ray diffraction stick pattern (CuKα), based on a crystal structure in Alexandria, relaxed with GGA-PBE.
No peak broadening, texture or thermal motion is included.

Crystal structure
Lattice parameters (Å, degrees): 5.1066 7.2731 8.1563 90.00 108.13 90.00
Sites, in units of the cell vectors:
Nd: 0.0000 0.0000 0.0000
Nd: 0.3291 0.0000 0.6580
Nd: 0.3352 0.5000 0.6704
Nd: 0.6648 0.5000 0.3296
Nd: 0.6709 0.0000 0.3420
Sc: 0.0000 0.5000 0.0000
Zn: 0.1575 0.2623 0.3146
Zn: 0.1575 0.7377 0.3146
Zn: 0.5000 0.2668 0.0000
Zn: 0.5000 0.7332 0.0000
Zn: 0.8425 0.2623 0.6854
Zn: 0.8425 0.7377 0.6854

Main lines, by angle (2θ = 10–80°):
- 2θ = 24.50°, rel. 16
- 2θ = 34.72°, rel. 25
- 2θ = 34.91°, rel. 100
- 2θ = 35.15°, rel. 25
- 2θ = 50.18°, rel. 17
- 2θ = 50.29°, rel. 9
- 2θ = 62.42°, rel. 17
- 2θ = 62.73°, rel. 9
- 2θ = 62.91°, rel. 17
- 2θ = 73.73°, rel. 10

4.
Nd3Sc2Zn3: theoretical X-ray diffraction stick pattern (CuKα), based on a crystal structure in Alexandria, relaxed with GGA-PBE.
No peak broadening, texture or thermal motion is included.

Crystal structure
Lattice parameters (Å, degrees): 11.0650 11.0650 11.0650 161.36 152.70 33.26
Sites, in units of the cell vectors:
Nd: 0.0000 0.0000 0.0000
Nd: 0.3767 0.8767 0.5000
Nd: 0.6233 0.1233 0.5000
Sc: 0.2335 0.2335 0.0000
Sc: 0.7665 0.7665 0.0000
Zn: 0.1279 0.6279 0.5000
Zn: 0.5000 0.5000 0.0000
Zn: 0.8721 0.3721 0.5000

Main lines, by angle (2θ = 10–80°):
- 2θ = 25.20°, rel. 10
- 2θ = 27.09°, rel. 10
- 2θ = 33.82°, rel. 25
- 2θ = 34.35°, rel. 26
- 2θ = 34.76°, rel. 100
- 2θ = 48.97°, rel. 17
- 2θ = 61.11°, rel. 16
- 2θ = 61.78°, rel. 18
- 2θ = 62.91°, rel. 9
- 2θ = 73.37°, rel. 10

5.
NdScZn4: theoretical X-ray diffraction stick pattern (CuKα), based on a crystal structure in Alexandria, relaxed with GGA-PBE.
No peak broadening, texture or thermal motion is included.

Crystal structure
Lattice parameters (Å, degrees): 5.4244 5.4244 5.4244 60.00 60.00 60.00
Sites, in units of the cell vectors:
Nd: 0.0000 0.0000 0.0000
Sc: 0.2500 0.2500 0.2500
Zn: 0.1269 0.6244 0.6244
Zn: 0.6244 0.1269 0.6244
Zn: 0.6244 0.6244 0.1269
Zn: 0.6244 0.6244 0.6244

Main lines, by angle (2θ = 10–80°):
- 2θ = 20.05°, rel. 10
- 2θ = 23.19°, rel. 12
- 2θ = 33.03°, rel. 35
- 2θ = 38.94°, rel. 100
- 2θ = 40.75°, rel. 33
- 2θ = 53.41°, rel. 5
- 2θ = 58.99°, rel. 13
- 2θ = 62.96°, rel. 31
- 2θ = 69.29°, rel. 24
- 2θ = 78.93°, rel. 5

6.
Nd3Se: theoretical X-ray diffraction stick pattern (CuKα), based on a crystal structure in Alexandria, relaxed with GGA-PBE.
No peak broadening, texture or thermal motion is included.

Crystal structure
Lattice parameters (Å, degrees): 6.1778 6.1778 6.1778 143.98 76.40 115.24
Sites, in units of the cell vectors:
Nd: 0.0000 0.0000 0.0000
Nd: 0.3789 0.5745 0.8044
Nd: 0.7700 0.5745 0.1956
Se: 0.3409 0.8409 0.5000

Main lines, by angle (2θ = 10–80°):
- 2θ = 25.05°, rel. 14
- 2θ = 26.95°, rel. 44
- 2θ = 30.75°, rel. 44
- 2θ = 32.76°, rel. 100
- 2θ = 37.10°, rel. 38
- 2θ = 47.61°, rel. 21
- 2θ = 50.04°, rel. 11
- 2θ = 57.75°, rel. 15
- 2θ = 60.35°, rel. 20
- 2θ = 79.09°, rel. 11

7.
Nd12Si5Se28: theoretical X-ray diffraction stick pattern (CuKα), based on a crystal structure in Alexandria, relaxed with GGA-PBE.
No peak broadening, texture or thermal motion is included.

Crystal structure
Lattice parameters (Å, degrees): 10.6000 12.1946 12.2199 60.15 64.30 90.00
Sites, in units of the cell vectors:
Nd: 0.0000 0.0000 0.0000
Nd: 0.0007 0.5326 0.9814
Nd: 0.0959 0.8200 0.4110
Nd: 0.1068 0.3016 0.3952
Nd: 0.2167 0.9359 0.6390
Nd: 0.2384 0.4566 0.6248
Nd: 0.5097 0.0538 0.8953
Nd: 0.5224 0.5807 0.8861
Nd: 0.6458 0.2066 0.1283
Nd: 0.6479 0.6980 0.1093
Nd: 0.7350 0.5000 0.5358
Nd: 0.7478 0.9872 0.5394
Si: 0.2065 0.2600 0.0863
Si: 0.2064 0.7516 0.1018
Si: 0.5380 0.3389 0.4328
Si: 0.5403 0.8440 0.4256
Si: 0.8741 0.2339 0.7624
Se: 0.0130 0.4575 0.5358
Se: 0.0428 0.0097 0.4952
Se: 0.1104 0.1667 0.6781
Se: 0.1297 0.6689 0.6660
Se: 0.2048 0.5680 0.0977
Se: 0.2072 0.0716 0.0907
Se: 0.2842 0.9387 0.8719
Se: 0.2909 0.4508 0.8607
Se: 0.3453 0.7816 0.1923
Se: 0.3620 0.2986 0.1576
Se: 0.3913 0.4527 0.3495
Se: 0.3972 0.9622 0.3413
Se: 0.4532 0.2997 0.6617
Se: 0.4563 0.8036 0.6539
Se: 0.5329 0.1477 0.4433
Se: 0.5454 0.6626 0.4152
Se: 0.6098 0.8270 0.8564
Se: 0.6473 0.3027 0.8494
Se: 0.7078 0.4919 0.0197
Se: 0.7194 0.0058 0.0014
Se: 0.7662 0.4846 0.2885
Se: 0.7693 0.9903 0.2815
Se: 0.7792 0.7025 0.5982
Se: 0.7870 0.2017 0.6081
Se: 0.9605 0.2759 0.9034
Se: 0.9636 0.7881 0.9327
Se: 0.9759 0.2632 0.2272
Se: 0.9809 0.7502 0.2554

Main lines, by angle (2θ = 10–80°):
- 2θ = 19.34°, rel. 31
- 2θ = 24.27°, rel. 48
- 2θ = 29.62°, rel. 71
- 2θ = 30.91°, rel. 44
- 2θ = 32.75°, rel. 63
- 2θ = 33.85°, rel. 69
- 2θ = 35.27°, rel. 100
- 2θ = 35.36°, rel. 32
- 2θ = 38.31°, rel. 63
- 2θ = 39.31°, rel. 44

8.
NdSm3Se4: theoretical X-ray diffraction stick pattern (CuKα), based on a crystal structure in Alexandria, relaxed with GGA-PBE.
No peak broadening, texture or thermal motion is included.

Crystal structure
Lattice parameters (Å, degrees): 4.1434 4.1434 27.9972 90.00 90.00 120.00
Sites, in units of the cell vectors:
Nd: 0.3333 0.6667 0.2500
Nd: 0.6667 0.3333 0.7500
Sm: 0.0000 0.0000 0.0000
Sm: 0.0000 0.0000 0.5000
Sm: 0.3333 0.6667 0.6230
Sm: 0.3333 0.6667 0.8770
Sm: 0.6667 0.3333 0.1230
Sm: 0.6667 0.3333 0.3770
Se: 0.0000 0.0000 0.1846
Se: 0.0000 0.0000 0.3154
Se: 0.0000 0.0000 0.6846
Se: 0.0000 0.0000 0.8154
Se: 0.3333 0.6667 0.0619
Se: 0.3333 0.6667 0.4381
Se: 0.6667 0.3333 0.5619
Se: 0.6667 0.3333 0.9381

Main lines, by angle (2θ = 10–80°):
- 2θ = 26.61°, rel. 21
- 2θ = 27.94°, rel. 25
- 2θ = 29.57°, rel. 84
- 2θ = 31.45°, rel. 67
- 2θ = 40.88°, rel. 24
- 2θ = 43.66°, rel. 100
- 2θ = 53.64°, rel. 16
- 2θ = 54.82°, rel. 14
- 2θ = 70.44°, rel. 31
- 2θ = 71.59°, rel. 13

9.
NdSmSe2: theoretical X-ray diffraction stick pattern (CuKα), based on a crystal structure in Alexandria, relaxed with GGA-PBE.
No peak broadening, texture or thermal motion is included.

Crystal structure
Lattice parameters (Å, degrees): 7.6770 7.6770 7.6770 30.96 30.96 30.96
Sites, in units of the cell vectors:
Nd: 0.0000 0.0000 0.0000
Sm: 0.1772 0.1772 0.1772
Se: 0.4224 0.4224 0.4224
Se: 0.5883 0.5883 0.5883

Main lines, by angle (2θ = 10–80°):
- 2θ = 25.43°, rel. 26
- 2θ = 26.40°, rel. 36
- 2θ = 30.00°, rel. 19
- 2θ = 32.47°, rel. 100
- 2θ = 38.35°, rel. 46
- 2θ = 44.21°, rel. 55
- 2θ = 48.85°, rel. 14
- 2θ = 55.91°, rel. 21
- 2θ = 68.88°, rel. 26
- 2θ = 73.90°, rel. 18

10.
Nd3Sm2Se8: theoretical X-ray diffraction stick pattern (CuKα), based on a crystal structure in Alexandria, relaxed with GGA-PBE.
No peak broadening, texture or thermal motion is included.

Crystal structure
Lattice parameters (Å, degrees): 8.4691 8.4691 7.2000 107.23 107.23 60.26
Sites, in units of the cell vectors:
Nd: 0.0000 0.0000 0.0000
Nd: 0.2630 0.7370 0.5000
Nd: 0.7370 0.2630 0.5000
Sm: 0.2597 0.2597 0.8422
Sm: 0.7403 0.7403 0.1578
Se: 0.1109 0.6378 0.0837
Se: 0.1200 0.1200 0.4303
Se: 0.3622 0.8891 0.9163
Se: 0.3782 0.3782 0.5930
Se: 0.6218 0.6218 0.4070
Se: 0.6378 0.1109 0.0837
Se: 0.8800 0.8800 0.5697
Se: 0.8891 0.3622 0.9163

Main lines, by angle (2θ = 10–80°):
- 2θ = 19.51°, rel. 58
- 2θ = 21.98°, rel. 44
- 2θ = 24.62°, rel. 30
- 2θ = 25.76°, rel. 56
- 2θ = 32.56°, rel. 100
- 2θ = 33.28°, rel. 46
- 2θ = 39.18°, rel. 35
- 2θ = 39.39°, rel. 72
- 2θ = 42.53°, rel. 36
- 2θ = 43.30°, rel. 70